(1)
Structure and calculated XRD peak list of U4Co6Ir7 (a cell relaxed with GGA-PBE; λ = 1.5418 Å (Cu Kα)).
Kinematic intensities with the Lorentz-polarization factor, no thermal factor.

Structural model:
```
U4Co6Ir7
1.0
-4.047 4.047 4.047
4.047 -4.047 4.047
4.047 4.047 -4.047
U Co Ir
4 6 7
direct
0.000 0.000 0.500
0.000 0.500 0.000
0.500 0.000 0.000
0.500 0.500 0.500
0.000 0.296 0.296
0.000 0.704 0.704
0.296 0.000 0.296
0.296 0.296 0.000
0.704 0.000 0.704
0.704 0.704 0.000
0.000 0.000 0.000
0.250 0.500 0.750
0.250 0.750 0.500
0.500 0.250 0.750
0.500 0.750 0.250
0.750 0.250 0.500
0.750 0.500 0.250
```

Peak list (8 most intense, 10° ≤ 2θ ≤ 90°, low angle first)
2θ (°), Rel. int.
27.0, 244
31.3, 225
38.5, 1000
41.8, 280
44.8, 671
65.2, 420
78.4, 351
82.6, 141

***

(2)
Structure and calculated XRD peak list of Cd8Ag5 (a cell relaxed with GGA-PBE; λ = 1.5418 Å (Cu Kα)).
Kinematic intensities with the Lorentz-polarization factor, no thermal factor.

Structural model:
```
Cd8Ag5
1.0
-5.067 5.067 5.067
5.067 -5.067 5.067
5.067 5.067 -5.067
Cd Ag
16 10
direct
0.000 0.000 0.779
0.000 0.282 0.653
0.000 0.653 0.282
0.000 0.779 0.000
0.221 0.221 0.221
0.282 0.000 0.653
0.282 0.653 0.000
0.347 0.347 0.629
0.347 0.629 0.347
0.371 0.718 0.718
0.629 0.347 0.347
0.653 0.000 0.282
0.653 0.282 0.000
0.718 0.371 0.718
0.718 0.718 0.371
0.779 0.000 0.000
0.000 0.000 0.345
0.000 0.345 0.000
0.000 0.356 0.356
0.000 0.644 0.644
0.345 0.000 0.000
0.356 0.000 0.356
0.356 0.356 0.000
0.644 0.000 0.644
0.644 0.644 0.000
0.655 0.655 0.655
```

Peak list (8 most intense, 10° ≤ 2θ ≤ 90°, low angle first)
2θ (°), Rel. int.
30.6, 54
33.1, 49
37.7, 1000
41.8, 47
54.3, 99
63.6, 51
68.0, 208
76.3, 101

***

(3)
Structure and calculated XRD peak list of Ti2NiS4 (a cell relaxed with GGA-PBE; λ = 1.5418 Å (Cu Kα)).
Kinematic intensities with the Lorentz-polarization factor, no thermal factor.

Structural model:
```
Ti2NiS4
1.0
0.000 4.948 4.948
4.948 0.000 4.948
4.948 4.948 0.000
Ti Ni S
4 2 8
direct
0.000 0.000 0.000
0.000 0.000 0.500
0.000 0.500 0.000
0.500 0.000 0.000
0.375 0.375 0.375
0.625 0.625 0.625
0.243 0.752 0.752
0.248 0.248 0.248
0.248 0.248 0.757
0.248 0.757 0.248
0.752 0.243 0.752
0.752 0.752 0.243
0.752 0.752 0.752
0.757 0.248 0.248
```

Peak list (8 most intense, 10° ≤ 2θ ≤ 90°, low angle first)
2θ (°), Rel. int.
25.5, 377
29.9, 1000
36.3, 435
44.9, 155
47.8, 367
52.3, 909
73.5, 177
77.1, 134

***

(4)
Structure and calculated XRD peak list of K2H6I (a cell relaxed with GGA-PBE; λ = 1.5418 Å (Cu Kα)).
Kinematic intensities with the Lorentz-polarization factor, no thermal factor.

Structural model:
```
K2H6I
1.0
8.369 -2.376 0.000
8.369 2.376 0.000
-0.885 0.000 5.058
K H I
2 6 1
direct
0.000 0.000 0.000
0.741 0.741 0.369
0.356 0.894 0.609
0.396 0.876 0.760
0.740 0.899 0.910
0.876 0.396 0.760
0.894 0.356 0.609
0.899 0.740 0.910
0.405 0.405 0.468
```

Peak list (8 most intense, 10° ≤ 2θ ≤ 90°, low angle first)
2θ (°), Rel. int.
10.7, 1000
17.5, 362
18.9, 338
24.8, 731
25.6, 361
26.9, 552
28.8, 447
33.1, 257